(1)
Diffraction record for CsLiZrTe3. The X-ray powder pattern is computed, not measured: it uses the GGA-PBE geometry in OQMD and Cu Kα.
Intensities are scaled so that the largest is 100.

Most intense lines, 2θ from 5° to 70°, in order of rising 2θ:
index  Position (°2θ)  I/Imax
2 0 0  10.28  22
2 0 3  25.38  41
3 1 1  27.09  100
2 1 2  27.92  42
4 1 1  30.44  31
6 0 0  31.21  34
5 0 3  34.98  21
5 1 2  36.94  27
0 2 0  42.14  26
2 1 5  45.90  21

Cell and atoms:
a = 17.2030 Å, b = 4.2892 Å, c = 11.5322 Å
α = 90.00°, β = 90.00°, γ = 90.00°
Space group Pnma (No. 62)
Inequivalent atoms, fractional coordinates:
1 Cs 0.2322 0.2500 0.0365 (multiplicity 4)
2 Li 0.0145 0.7500 0.0934 (multiplicity 4)
3 Zr 0.0136 0.2500 0.3316 (multiplicity 4)
4 Te 0.0812 0.7500 0.8693 (multiplicity 4)
5 Te 0.0849 0.2500 0.5689 (multiplicity 4)
6 Te 0.1233 0.7500 0.2676 (multiplicity 4)



(2)
Diffraction record for HoGaPdPt. The X-ray powder pattern is computed, not measured: it uses the GGA-PBE geometry in OQMD and Cu Kα.
Intensities are scaled so that the largest is 100.

Most intense lines, 2θ from 5° to 70°, in order of rising 2θ:
index  Position (°2θ)  I/Imax
0 0 1  9.77  3
1 0 0  23.42  32
1 0 2  30.73  9
1 0 3  38.09  100
1 1 0  41.17  72
2 0 0  47.90  5
2 0 3  57.33  31
0 0 6  61.46  4
2 1 0  64.96  4
1 0 6  66.72  12

Cell and atoms:
a = 4.3855 Å, b = 4.3855 Å, c = 9.0514 Å
α = 90.00°, β = 90.00°, γ = 120.00°
Space group P-6m2 (No. 187)
Inequivalent atoms, fractional coordinates:
1 Ho 0.0000 0.0000 0.0000 (multiplicity 1)
2 Ho 0.3333 0.6667 0.5000 (multiplicity 1)
3 Ga 0.6667 0.3333 0.2467 (multiplicity 2)
4 Pd 0.0000 0.0000 0.3362 (multiplicity 2)
5 Pt 0.3333 0.6667 0.1698 (multiplicity 2)



(3)
Diffraction record for Al11Ni2. The X-ray powder pattern is computed, not measured: it uses the GGA-PBE geometry in OQMD and Cu Kα.
Intensities are scaled so that the largest is 100.

Most intense lines, 2θ from 5° to 70°, in order of rising 2θ:
index  Position (°2θ)  I/Imax
0 0 3  10.71  64
1 1 0  32.95  64
1 1 6  39.69  100
2 0 5  42.50  29
0 0 12  43.83  19
0 1 11  44.58  21
0 2 7  46.31  28
2 0 8  48.56  20
3 0 6  63.39  24
2 2 0  69.10  28

Cell and atoms:
a = 5.4374 Å, b = 5.4374 Å, c = 24.7882 Å
α = 90.00°, β = 90.00°, γ = 120.00°
Space group R-3m (No. 166, hexagonal axes)
Inequivalent atoms, fractional coordinates:
1 Al 0.0000 0.0000 0.0000 (multiplicity 3)
2 Al 0.0000 0.0000 0.3425 (multiplicity 6)
3 Al 0.0000 0.0000 0.4500 (multiplicity 6)
4 Al 0.9998 0.4999 0.4224 (multiplicity 18)
5 Ni 0.0000 0.0000 0.1677 (multiplicity 6)



(4)
Diffraction record for LiGeTe4Au3. The X-ray powder pattern is computed, not measured: it uses the GGA-PBE geometry in OQMD and Cu Kα.
Intensities are scaled so that the largest is 100.

Most intense lines, 2θ from 5° to 70°, in order of rising 2θ:
index  Position (°2θ)  I/Imax
0 0 1  10.06  56
0 1 1  14.17  52
1 0 -2  22.45  43
1 2 0  24.37  100
0 0 3  30.50  30
1 3 0  33.35  29
1 1 3  37.22  37
2 2 1  37.38  59
2 2 -2  37.67  48
0 4 0  40.60  29

Cell and atoms:
a = 6.5174 Å, b = 8.8820 Å, c = 8.9232 Å
α = 90.00°, β = 99.78°, γ = 90.00°
Space group P2_1/m (No. 11)
Inequivalent atoms, fractional coordinates:
1 Li 0.2397 0.2500 0.1259 (multiplicity 2)
2 Ge 0.2555 0.7500 0.2547 (multiplicity 2)
3 Te 0.0116 0.0046 0.7817 (multiplicity 4)
4 Te 0.3515 0.7500 0.9694 (multiplicity 2)
5 Te 0.4840 0.2500 0.4441 (multiplicity 2)
6 Au 0.1943 0.0746 0.5374 (multiplicity 4)
7 Au 0.2899 0.2500 0.8292 (multiplicity 2)